Entry 1:
Structure and simulated X-ray diffraction stick pattern of Mg3Al2Au4 (DFT lattice parameters and positions (GGA-PBE); copper Kα).

```
data_Mg3Al2Au4
_chemical_formula_sum 'Mg6 Al4 Au8'
_cell_length_a 7.9498
_cell_length_b 4.6025
_cell_length_c 9.3745
_cell_angle_alpha 90.00
_cell_angle_beta 104.04
_cell_angle_gamma 90.00
_symmetry_space_group_name_H-M 'C 1 2/m 1'
_symmetry_Int_Tables_number 12
loop_
_symmetry_equiv_pos_as_xyz
'x,y,z'
'-x,-y,-z'
'-x,y,-z'
'x,-y,z'
'x+1/2,y+1/2,z'
'-x+1/2,-y+1/2,-z'
'-x+1/2,y+1/2,-z'
'x+1/2,-y+1/2,z'
loop_
_atom_site_label
_atom_site_type_symbol
_atom_site_fract_x
_atom_site_fract_y
_atom_site_fract_z
Mg1 Mg 0.0000 0.0000 0.0000
Mg2 Mg 0.1071 0.5000 0.7839
Al1 Al 0.2273 0.0000 0.6052
Au1 Au 0.0884 0.0000 0.3301
Au2 Au 0.1961 0.5000 0.0999
```

Largest 10 diffraction maxima, in order of rising 2θ, 10° ≤ 2θ ≤ 90°:
- 23.4°, rel. 35
- 27.2°, rel. 61
- 28.0°, rel. 100
- 32.9°, rel. 23
- 39.1°, rel. 46
- 39.3°, rel. 84
- 39.7°, rel. 92
- 40.9°, rel. 28
- 48.3°, rel. 27
- 57.9°, rel. 20



Entry 2:
Structure and simulated X-ray diffraction stick pattern of Cs2AsI2Br4 (DFT lattice parameters and positions (GGA-PBE); copper Kα).

```
data_Cs2AsI2Br4
_chemical_formula_sum 'Cs4 As2 I4 Br8'
_cell_length_a 8.2301
_cell_length_b 8.2301
_cell_length_c 10.5602
_cell_angle_alpha 90.00
_cell_angle_beta 90.00
_cell_angle_gamma 90.00
_symmetry_space_group_name_H-M 'I 4/m m m'
_symmetry_Int_Tables_number 139
_symmetry_space_group_name_Hall '-I 4 2'
loop_
_atom_site_label
_atom_site_type_symbol
_atom_site_fract_x
_atom_site_fract_y
_atom_site_fract_z
Cs1 Cs 0.0000 0.5000 0.2500
As1 As 0.0000 0.0000 0.0000
I1 I 0.0000 0.0000 0.2664
Br1 Br 0.2253 0.2253 0.0000
```

Largest 10 diffraction maxima, in order of rising 2θ, 10° ≤ 2θ ≤ 90°:
- 13.6°, rel. 10
- 21.6°, rel. 11
- 27.5°, rel. 100
- 30.7°, rel. 50
- 34.0°, rel. 19
- 44.0°, rel. 17
- 46.4°, rel. 29
- 52.7°, rel. 27
- 56.7°, rel. 15
- 56.9°, rel. 10



Entry 3:
Structure and simulated X-ray diffraction stick pattern of CsAsSe2 (DFT lattice parameters and positions (GGA-PBE); copper Kα).

```
data_CsAsSe2
_chemical_formula_sum 'Cs4 As4 Se8'
_cell_length_a 7.9015
_cell_length_b 10.0719
_cell_length_c 7.2524
_cell_angle_alpha 90.00
_cell_angle_beta 101.69
_cell_angle_gamma 90.00
_symmetry_space_group_name_H-M 'P 1 21/c 1'
_symmetry_Int_Tables_number 14
loop_
_symmetry_equiv_pos_as_xyz
'x,y,z'
'-x,-y,-z'
'-x,y+1/2,-z+1/2'
'x,-y+1/2,z+1/2'
loop_
_atom_site_label
_atom_site_type_symbol
_atom_site_fract_x
_atom_site_fract_y
_atom_site_fract_z
Cs1 Cs 0.1717 0.0702 0.2846
As1 As 0.4017 0.6592 0.3599
Se1 Se 0.2033 0.7495 0.0484
Se2 Se 0.3163 0.0667 0.8099
```

Largest 10 diffraction maxima, in order of rising 2θ, 10° ≤ 2θ ≤ 90°:
- 21.6°, rel. 31
- 23.0°, rel. 40
- 25.5°, rel. 84
- 29.0°, rel. 100
- 29.8°, rel. 51
- 30.8°, rel. 41
- 31.1°, rel. 71
- 31.8°, rel. 32
- 50.3°, rel. 21
- 50.5°, rel. 20



Entry 4:
Structure and simulated X-ray diffraction stick pattern of Li2ErCd10 (DFT lattice parameters and positions (GGA-PBE); copper Kα).

```
data_Li2ErCd10
_chemical_formula_sum 'Li8 Er4 Cd40'
_cell_length_a 5.5428
_cell_length_b 14.0646
_cell_length_c 14.2437
_cell_angle_alpha 90.00
_cell_angle_beta 90.00
_cell_angle_gamma 90.00
_symmetry_space_group_name_H-M 'F m m m'
_symmetry_Int_Tables_number 69
_symmetry_space_group_name_Hall '-F 2 2'
loop_
_atom_site_label
_atom_site_type_symbol
_atom_site_fract_x
_atom_site_fract_y
_atom_site_fract_z
Li1 Li 0.2500 0.2500 0.0000
Er1 Er 0.0000 0.0000 0.0000
Cd1 Cd 0.0000 0.1103 0.3990
Cd2 Cd 0.0000 0.1801 0.1653
Cd3 Cd 0.2500 0.0000 0.2500
```

Largest 10 diffraction maxima, in order of rising 2θ, 10° ≤ 2θ ≤ 90°:
- 28.1°, rel. 44
- 31.3°, rel. 87
- 32.3°, rel. 50
- 35.9°, rel. 67
- 36.0°, rel. 77
- 36.4°, rel. 100
- 37.1°, rel. 63
- 41.3°, rel. 34
- 41.5°, rel. 24
- 65.3°, rel. 34



Entry 5:
Structure and simulated X-ray diffraction stick pattern of Er6ZrSc2 (DFT lattice parameters and positions (GGA-PBE); copper Kα).

```
data_Er6ZrSc2
_chemical_formula_sum 'Er18 Zr3 Sc6'
_cell_length_a 7.1219
_cell_length_b 7.1219
_cell_length_c 18.4431
_cell_angle_alpha 90.00
_cell_angle_beta 90.00
_cell_angle_gamma 120.00
_symmetry_space_group_name_H-M 'R 3 m'
_symmetry_Int_Tables_number 160
_symmetry_space_group_name_Hall 'R 3 -2"'
loop_
_atom_site_label
_atom_site_type_symbol
_atom_site_fract_x
_atom_site_fract_y
_atom_site_fract_z
Er1 Er 0.0041 0.5021 0.0000
Er2 Er 0.0439 0.5219 0.8036
Zr1 Zr 0.0000 0.0000 0.5470
Sc1 Sc 0.0000 0.0000 0.8170
Sc2 Sc 0.0000 0.0000 0.9898
```

Largest 10 diffraction maxima, in order of rising 2θ, 10° ≤ 2θ ≤ 90°:
- 15.1°, rel. 30
- 17.3°, rel. 18
- 29.0°, rel. 50
- 29.4°, rel. 100
- 35.0°, rel. 75
- 38.0°, rel. 82
- 38.9°, rel. 24
- 51.3°, rel. 37
- 58.3°, rel. 19
- 60.1°, rel. 25



Entry 6:
Structure and simulated X-ray diffraction stick pattern of MnV3Si (DFT lattice parameters and positions (GGA-PBE); copper Kα).

```
data_MnV3Si
_chemical_formula_sum 'Mn4 V12 Si4'
_cell_length_a 7.1169
_cell_length_b 4.7393
_cell_length_c 9.1411
_cell_angle_alpha 90.00
_cell_angle_beta 122.35
_cell_angle_gamma 90.00
_symmetry_space_group_name_H-M 'P 1 21/c 1'
_symmetry_Int_Tables_number 14
loop_
_symmetry_equiv_pos_as_xyz
'x,y,z'
'-x,-y,-z'
'-x,y+1/2,-z+1/2'
'x,-y+1/2,z+1/2'
loop_
_atom_site_label
_atom_site_type_symbol
_atom_site_fract_x
_atom_site_fract_y
_atom_site_fract_z
Mn1 Mn 0.1184 0.1372 0.1192
V1 V 0.0053 0.5953 0.1457
V2 V 0.3219 0.1116 0.9562
V3 V 0.3865 0.6204 0.1688
Si1 Si 0.3294 0.6147 0.8740
```

Largest 10 diffraction maxima, in order of rising 2θ, 10° ≤ 2θ ≤ 90°:
- 35.4°, rel. 36
- 37.9°, rel. 41
- 39.8°, rel. 100
- 40.7°, rel. 46
- 42.2°, rel. 41
- 44.1°, rel. 86
- 44.3°, rel. 63
- 44.9°, rel. 96
- 46.2°, rel. 39
- 48.8°, rel. 48



What did the second record say?
Structure and simulated X-ray diffraction stick pattern of Cs2AsI2Br4 (DFT lattice parameters and positions (GGA-PBE); copper Kα).

```
data_Cs2AsI2Br4
_chemical_formula_sum 'Cs4 As2 I4 Br8'
_cell_length_a 8.2301
_cell_length_b 8.2301
_cell_length_c 10.5602
_cell_angle_alpha 90.00
_cell_angle_beta 90.00
_cell_angle_gamma 90.00
_symmetry_space_group_name_H-M 'I 4/m m m'
_symmetry_Int_Tables_number 139
_symmetry_space_group_name_Hall '-I 4 2'
loop_
_atom_site_label
_atom_site_type_symbol
_atom_site_fract_x
_atom_site_fract_y
_atom_site_fract_z
Cs1 Cs 0.0000 0.5000 0.2500
As1 As 0.0000 0.0000 0.0000
I1 I 0.0000 0.0000 0.2664
Br1 Br 0.2253 0.2253 0.0000
```

Largest 10 diffraction maxima, in order of rising 2θ, 10° ≤ 2θ ≤ 90°:
- 13.6°, rel. 10
- 21.6°, rel. 11
- 27.5°, rel. 100
- 30.7°, rel. 50
- 34.0°, rel. 19
- 44.0°, rel. 17
- 46.4°, rel. 29
- 52.7°, rel. 27
- 56.7°, rel. 15
- 56.9°, rel. 10